1.
For CaEuZrVO6, a DFT-relaxed cell (GGA+U, the Materials Project) gives the simulated X-ray diffraction stick pattern in this record (Cu Kα X-rays).
Kinematic intensities with the Lorentz-polarization factor, no thermal factor.

The 10 most intense peaks (2θ from 5° to 70°), by angle:
d_spacing	2θ/deg	I_rel
4.637	19.14	31
2.840	31.51	100
2.422	37.13	20
2.319	38.84	9
2.008	45.16	36
1.843	49.47	9
1.639	56.10	38
1.546	59.84	7
1.420	65.77	21
1.358	69.20	7

Structural model:
abc: 5.679 5.679 5.679
angles: 60.00 60.00 60.00
Fractional positions:
Ca 0.000 0.000 0.000
Eu 0.500 0.500 0.500
Zr 0.750 0.750 0.750
V 0.250 0.250 0.250
O 0.008 0.008 0.492
O 0.008 0.492 0.008
O 0.008 0.492 0.492
O 0.492 0.008 0.008
O 0.492 0.008 0.492
O 0.492 0.492 0.008

***

2.
For Li5NiOF5, a DFT-relaxed cell (GGA+U, the Materials Project) gives the simulated X-ray diffraction stick pattern in this record (Cu Kα X-rays).
Kinematic intensities with the Lorentz-polarization factor, no thermal factor.

The 10 most intense peaks (2θ from 5° to 70°), by angle:
d_spacing	2θ/deg	I_rel
15.253	5.79	100
7.627	11.60	25
2.747	32.60	31
2.704	33.14	15
2.584	34.71	12
2.542	35.31	16
2.417	37.20	12
2.229	40.47	11
1.866	48.81	13
1.586	58.17	14

Structural model:
abc: 15.253 3.171 5.496
angles: 90.00 90.06 90.00
Fractional positions:
Li 0.000 0.249 0.000
Li 0.000 0.751 0.500
Li 0.163 0.250 0.667
Li 0.163 0.750 0.167
Li 0.325 0.250 0.000
Li 0.325 0.750 0.500
Li 0.487 0.250 0.667
Li 0.487 0.750 0.167
Li 0.648 0.250 0.001
Li 0.648 0.750 0.501
Ni 0.833 0.259 0.665
Ni 0.833 0.741 0.165
O 0.869 0.243 0.999
O 0.869 0.757 0.499
F 0.039 0.251 0.667
F 0.039 0.749 0.167
F 0.201 0.250 0.000
F 0.201 0.750 0.500
F 0.363 0.250 0.667
F 0.363 0.750 0.167
F 0.525 0.250 0.000
F 0.525 0.750 0.500
F 0.685 0.250 0.668
F 0.685 0.750 0.168

***

3.
For La2MgCo2O6, a DFT-relaxed cell (GGA+U, the Materials Project) gives the simulated X-ray diffraction stick pattern in this record (Cu Kα X-rays).
Kinematic intensities with the Lorentz-polarization factor, no thermal factor.

The 10 most intense peaks (2θ from 5° to 70°), by angle:
d_spacing	2θ/deg	I_rel
4.704	18.86	38
4.228	21.01	31
3.234	27.58	100
3.100	28.80	63
2.982	29.96	28
2.800	31.97	54
2.769	32.33	30
2.738	32.70	43
2.719	32.94	42
2.639	33.97	46

Structural model:
abc: 5.381 5.707 5.836
angles: 109.82 107.73 99.57
Fractional positions:
La 0.000 0.000 0.000
La 0.363 0.499 0.782
Mg 0.673 0.743 0.395
Co 0.176 0.760 0.402
Co 0.680 0.244 0.402
O 0.383 0.388 0.282
O 0.389 0.872 0.192
O 0.539 0.874 0.712
O 0.815 0.635 0.086
O 0.965 0.619 0.600
O 0.976 0.104 0.541

***

4.
For SrMnO3, a DFT-relaxed cell (GGA+U, the Materials Project) gives the simulated X-ray diffraction stick pattern in this record (Cu Kα X-rays).
Kinematic intensities with the Lorentz-polarization factor, no thermal factor.

The 10 most intense peaks (2θ from 5° to 70°), by angle:
d_spacing	2θ/deg	I_rel
3.325	26.81	53
2.762	32.42	100
2.592	34.61	51
2.314	38.93	14
2.125	42.55	53
1.890	48.15	37
1.684	54.49	12
1.595	57.82	18
1.560	59.25	23
1.381	67.87	22

Structural model:
abc: 5.524 5.524 9.249
angles: 90.00 90.00 120.00
Fractional positions:
Sr 0.000 0.000 0.000
Sr 0.000 0.000 0.500
Sr 0.333 0.667 0.250
Sr 0.667 0.333 0.750
Mn 0.333 0.667 0.613
Mn 0.333 0.667 0.887
Mn 0.667 0.333 0.113
Mn 0.667 0.333 0.387
O 0.000 0.500 0.000
O 0.000 0.500 0.500
O 0.181 0.362 0.750
O 0.181 0.819 0.750
O 0.362 0.181 0.250
O 0.500 0.000 0.000
O 0.500 0.000 0.500
O 0.500 0.500 0.000
O 0.500 0.500 0.500
O 0.638 0.819 0.750
O 0.819 0.181 0.250
O 0.819 0.638 0.250

***

5.
For Ti4VO8, a DFT-relaxed cell (GGA+U, the Materials Project) gives the simulated X-ray diffraction stick pattern in this record (Cu Kα X-rays).
Kinematic intensities with the Lorentz-polarization factor, no thermal factor.

The 10 most intense peaks (2θ from 5° to 70°), by angle:
d_spacing	2θ/deg	I_rel
4.833	18.36	24
4.731	18.76	66
4.163	21.34	12
2.529	35.50	27
2.416	37.21	14
2.081	43.48	100
1.592	57.94	9
1.485	62.56	19
1.482	62.70	9
1.460	63.74	25

Structural model:
abc: 5.842 5.842 5.841
angles: 118.90 118.90 60.97
Fractional positions:
Ti 0.000 0.000 0.000
Ti 0.000 0.500 0.000
Ti 0.500 0.000 0.000
Ti 0.500 0.500 0.500
V 0.000 0.000 0.500
O 0.238 0.238 0.773
O 0.240 0.749 0.249
O 0.249 0.249 0.239
O 0.251 0.760 0.751
O 0.749 0.240 0.249
O 0.751 0.751 0.761
O 0.760 0.251 0.751
O 0.762 0.762 0.227

***

6.
For Sr4LiMn2Ga2O10, a DFT-relaxed cell (GGA+U, the Materials Project) gives the simulated X-ray diffraction stick pattern in this record (Cu Kα X-rays).
Kinematic intensities with the Lorentz-polarization factor, no thermal factor.

The 10 most intense peaks (2θ from 5° to 70°), by angle:
d_spacing	2θ/deg	I_rel
3.985	22.31	19
3.657	24.34	22
2.947	30.33	100
2.899	30.84	63
2.879	31.06	44
2.863	31.24	62
2.275	39.62	16
2.063	43.89	27
2.053	44.10	31
1.528	60.60	13

Structural model:
abc: 5.726 5.903 9.113
angles: 71.85 72.31 89.52
Fractional positions:
Sr 0.000 0.000 0.000
Sr 0.136 0.331 0.557
Sr 0.406 0.556 0.996
Sr 0.702 0.878 0.549
Li 0.922 0.433 0.934
Mn 0.104 0.765 0.714
Mn 0.559 0.220 0.773
Ga 0.390 0.892 0.268
Ga 0.716 0.534 0.291
O 0.184 0.903 0.467
O 0.259 0.428 0.788
O 0.345 0.951 0.771
O 0.381 0.093 0.071
O 0.388 0.559 0.273
O 0.719 0.871 0.280
O 0.721 0.333 0.487
O 0.774 0.492 0.770
O 0.833 0.000 0.771
O 0.935 0.551 0.090

***

7.
For MnF2, a DFT-relaxed cell (GGA+U, the Materials Project) gives the simulated X-ray diffraction stick pattern in this record (Cu Kα X-rays).
Kinematic intensities with the Lorentz-polarization factor, no thermal factor.

The 10 most intense peaks (2θ from 5° to 70°), by angle:
d_spacing	2θ/deg	I_rel
3.833	23.21	40
3.138	28.45	100
2.315	38.91	21
1.848	49.31	25
1.841	49.51	15
1.808	50.47	35
1.645	55.90	16
1.552	59.56	16
1.545	59.88	13
1.527	60.66	14

Structural model:
abc: 5.019 5.937 5.463
angles: 90.00 90.00 90.00
Fractional positions:
Mn 0.000 0.168 0.250
Mn 0.000 0.832 0.750
Mn 0.500 0.332 0.750
Mn 0.500 0.668 0.250
F 0.227 0.109 0.580
F 0.227 0.891 0.080
F 0.273 0.391 0.080
F 0.273 0.609 0.580
F 0.727 0.391 0.420
F 0.727 0.609 0.920
F 0.773 0.109 0.920
F 0.773 0.891 0.420

***

8.
For Na5LiFe2P2C2O14, a DFT-relaxed cell (GGA+U, the Materials Project) gives the simulated X-ray diffraction stick pattern in this record (Cu Kα X-rays).
Kinematic intensities with the Lorentz-polarization factor, no thermal factor.

The 10 most intense peaks (2θ from 5° to 70°), by angle:
d_spacing	2θ/deg	I_rel
8.931	9.90	95
4.527	19.61	26
4.455	19.93	27
3.418	26.07	29
3.348	26.62	100
2.688	33.33	82
2.669	33.57	40
2.597	34.54	64
2.144	42.14	25
1.674	54.86	30

Structural model:
abc: 6.695 8.933 10.389
angles: 91.08 90.22 90.35
Fractional positions:
Na 0.000 0.000 0.000
Na 0.002 0.995 0.492
Na 0.250 0.820 0.739
Na 0.493 0.999 0.998
Na 0.497 0.474 0.244
Na 0.499 0.472 0.745
Na 0.742 0.654 0.500
Na 0.748 0.654 0.001
Na 0.994 0.472 0.746
Na 0.997 0.473 0.244
Li 0.254 0.826 0.244
Li 0.483 0.011 0.497
Fe 0.246 0.380 0.508
Fe 0.248 0.382 0.012
Fe 0.744 0.087 0.726
Fe 0.745 0.088 0.235
P 0.245 0.150 0.765
P 0.252 0.138 0.270
P 0.742 0.318 0.469
P 0.747 0.321 0.973
C 0.247 0.681 0.989
C 0.254 0.681 0.479
C 0.744 0.796 0.256
C 0.746 0.795 0.754
O 0.057 0.055 0.726
O 0.063 0.041 0.239
O 0.244 0.594 0.378
O 0.244 0.823 0.971
O 0.245 0.304 0.700
O 0.247 0.292 0.204
O 0.248 0.588 0.890
O 0.248 0.620 0.593
O 0.249 0.628 0.105
O 0.251 0.172 0.914
O 0.268 0.164 0.420
O 0.270 0.824 0.467
O 0.429 0.039 0.225
O 0.429 0.055 0.720
O 0.559 0.417 0.506
O 0.561 0.417 0.012
O 0.730 0.161 0.530
O 0.739 0.881 0.359
O 0.743 0.880 0.858
O 0.745 0.297 0.824
O 0.746 0.859 0.144
O 0.747 0.168 0.040
O 0.747 0.858 0.642
O 0.748 0.298 0.319
O 0.748 0.651 0.762
O 0.748 0.652 0.264
O 0.931 0.408 0.513
O 0.934 0.417 0.012